Starting from a structure optimized by DFT (PBE), the powder diffraction line list of Rh4Au was calculated for Cu Kα X-rays.

abc: 6.1874 6.1874 3.8950
angles: 90.00 90.00 90.00
Space group I4/m (No. 87)
Unique sites:
1 Rh 0.0980 0.6934 0.0000 x8
2 Au 0.0000 0.0000 0.5000 x2

Most intense lines, 10 to 90 degrees two-theta, in order of rising 2θ:
20.3 deg, intensity 3.8, (1 1 0); 27.1 deg, intensity 6.8, (1 0 1); 28.9 deg, intensity 3.5, (2 0 0); 40.0 deg, intensity 100.0, (1 2 1); 46.4 deg, intensity 33.0, (3 1 0); 46.6 deg, intensity 15.8, (0 0 2); 58.8 deg, intensity 1.8, (3 2 1); 67.7 deg, intensity 10.2, (2 4 0); 67.9 deg, intensity 21.0, (3 1 2); 81.6 deg, intensity 24.4, (5 0 1); 82.0 deg, intensity 12.4, (1 2 3); 86.2 deg, intensity 10.8, (2 4 2)


Starting from a structure optimized by DFT (PBE), the powder diffraction line list of Fe3CuNi12 was calculated for Cu Kα X-rays.

abc: 3.5441 3.5441 14.1354
angles: 90.00 90.00 90.00
Space group P4/mmm (No. 123)
Unique sites:
1 Fe 0.0000 0.0000 0.0000 x1
2 Fe 0.0000 0.0000 0.2512 x2
3 Cu 0.0000 0.0000 0.5000 x1
4 Ni 0.0000 0.5000 0.1254 x4
5 Ni 0.0000 0.5000 0.3735 x4
6 Ni 0.5000 0.5000 0.0000 x1
7 Ni 0.5000 0.5000 0.2494 x2
8 Ni 0.5000 0.5000 0.5000 x1

Most intense lines, 10 to 90 degrees two-theta, in order of rising 2θ:
44.3 deg, intensity 100.0, (1 1 4); 51.6 deg, intensity 31.0, (2 0 0); 51.7 deg, intensity 15.3, (0 0 8); 75.9 deg, intensity 8.9, (2 2 0); 76.1 deg, intensity 17.7, (2 0 8)


Starting from a structure optimized by DFT (PBE), the powder diffraction line list of TbPmDy2 was calculated for Cu Kα X-rays.

abc: 5.7018 7.2939 6.2995
angles: 90.00 90.00 90.00
Space group Pmmn (No. 59, origin choice 2)
Unique sites:
1 Tb 0.2500 0.2500 0.1680 x2
2 Pm 0.2500 0.7500 0.1673 x2
3 Dy 0.2500 0.5008 0.6656 x4

Most intense lines, 10 to 90 degrees two-theta, in order of rising 2θ:
28.3 deg, intensity 23.8, (0 2 1); 31.4 deg, intensity 24.3, (2 0 0); 32.4 deg, intensity 100.0, (1 2 1); 42.8 deg, intensity 15.7, (2 2 1); 50.0 deg, intensity 6.6, (0 4 0); 50.1 deg, intensity 13.2, (0 2 3); 56.5 deg, intensity 20.7, (3 2 1); 60.3 deg, intensity 22.7, (2 4 0); 60.9 deg, intensity 11.0, (1 4 2); 61.0 deg, intensity 5.5, (1 0 4); 82.8 deg, intensity 9.3, (1 2 5); 86.8 deg, intensity 8.4, (4 4 0)


Starting from a structure optimized by DFT (PBE), the powder diffraction line list of Li4Be3P3ClO12 was calculated for Cu Kα X-rays.

abc: 8.1054 8.1054 8.1054
angles: 90.00 90.00 90.00
Space group P-43n (No. 218)
Unique sites:
1 Li 0.1719 0.1719 0.1719 x8
2 Be 0.0000 0.2500 0.5000 x6
3 P 0.0000 0.5000 0.2500 x6
4 Cl 0.0000 0.0000 0.0000 x2
5 O 0.0832 0.3644 0.6438 x24

Most intense lines, 10 to 90 degrees two-theta, in order of rising 2θ:
15.5 deg, intensity 41.1, (1 1 0); 21.9 deg, intensity 21.2, (2 0 0); 24.6 deg, intensity 36.1, (2 1 0); 26.9 deg, intensity 100.0, (2 1 1); 38.5 deg, intensity 31.8, (2 2 2); 41.7 deg, intensity 22.0, (3 2 1); 47.6 deg, intensity 14.5, (4 1 1); 53.0 deg, intensity 10.5, (3 3 2); 65.1 deg, intensity 18.9, (4 4 0); 71.8 deg, intensity 9.0, (5 3 2); 80.3 deg, intensity 9.3, (6 3 1); 88.7 deg, intensity 8.5, (5 5 2)


Starting from a structure optimized by DFT (PBE), the powder diffraction line list of CeGaGe3 was calculated for Cu Kα X-rays.

abc: 4.4524 5.7949 8.2921
angles: 90.00 90.00 90.00
Space group Pmmn (No. 59, origin choice 2)
Unique sites:
1 Ce 0.2500 0.2500 0.1970 x2
2 Ga 0.2500 0.2500 0.8050 x2
3 Ge 0.2500 0.5265 0.5652 x4
4 Ge 0.2500 0.7500 0.0463 x2

Most intense lines, 10 to 90 degrees two-theta, in order of rising 2θ:
25.2 deg, intensity 21.3, (1 1 0); 29.4 deg, intensity 41.8, (1 0 2); 32.4 deg, intensity 14.8, (0 0 3); 32.7 deg, intensity 64.8, (0 2 1); 33.3 deg, intensity 100.0, (1 1 2); 37.9 deg, intensity 23.3, (0 2 2); 38.6 deg, intensity 21.8, (1 2 1); 40.5 deg, intensity 46.3, (2 0 0); 41.5 deg, intensity 43.7, (1 1 3); 53.0 deg, intensity 32.4, (2 2 1); 56.7 deg, intensity 14.3, (2 2 2); 62.2 deg, intensity 17.0, (1 3 3)


Starting from a structure optimized by DFT (PBE), the powder diffraction line list of SnAsOsAuCl was calculated for Cu Kα X-rays.

abc: 3.1762 5.4623 6.8785
angles: 94.00 103.23 106.13
Space group P1 (No. 1)
Unique sites:
1 Sn 0.0000 0.0000 0.0000 x1
2 As 0.7791 0.0457 0.4885 x1
3 Os 0.5006 0.2556 0.7333 x1
4 Au 0.1474 0.6780 0.6640 x1
5 Cl 0.7723 0.4639 0.0979 x1

Most intense lines, 10 to 90 degrees two-theta, in order of rising 2θ:
13.4 deg, intensity 100.0, (0 0 1); 26.9 deg, intensity 11.2, (0 0 2); 34.1 deg, intensity 15.9, (0 1 2); 35.2 deg, intensity 39.7, (1 -1 1); 35.3 deg, intensity 18.6, (0 2 -1); 36.8 deg, intensity 8.6, (-1 1 2); 38.2 deg, intensity 17.8, (1 1 -1); 38.7 deg, intensity 15.5, (1 -2 0); 39.5 deg, intensity 15.3, (1 1 0); 40.0 deg, intensity 13.9, (-1 2 1); 41.0 deg, intensity 19.3, (0 2 -2); 44.4 deg, intensity 19.2, (1 -1 2)


Q: Which formula does entry 5 have?
A: CeGaGe3


Please write out number 5 again, unchanged.
Starting from a structure optimized by DFT (PBE), the powder diffraction line list of CeGaGe3 was calculated for Cu Kα X-rays.

abc: 4.4524 5.7949 8.2921
angles: 90.00 90.00 90.00
Space group Pmmn (No. 59, origin choice 2)
Unique sites:
1 Ce 0.2500 0.2500 0.1970 x2
2 Ga 0.2500 0.2500 0.8050 x2
3 Ge 0.2500 0.5265 0.5652 x4
4 Ge 0.2500 0.7500 0.0463 x2

Most intense lines, 10 to 90 degrees two-theta, in order of rising 2θ:
25.2 deg, intensity 21.3, (1 1 0); 29.4 deg, intensity 41.8, (1 0 2); 32.4 deg, intensity 14.8, (0 0 3); 32.7 deg, intensity 64.8, (0 2 1); 33.3 deg, intensity 100.0, (1 1 2); 37.9 deg, intensity 23.3, (0 2 2); 38.6 deg, intensity 21.8, (1 2 1); 40.5 deg, intensity 46.3, (2 0 0); 41.5 deg, intensity 43.7, (1 1 3); 53.0 deg, intensity 32.4, (2 2 1); 56.7 deg, intensity 14.3, (2 2 2); 62.2 deg, intensity 17.0, (1 3 3)